The following is a calculated powder diffraction line list of TbMn2WO8. It was derived from a DFT-relaxed cell (GGA+U, Alexandria), using Cu Kα (weighted mean of Kα1 and Kα2).

```
data_TbMn2WO8
_chemical_formula_sum 'Tb2 Mn4 W2 O16'
_cell_length_a 6.798
_cell_length_b 6.798
_cell_length_c 6.540
_cell_angle_alpha 90.00
_cell_angle_beta 90.00
_cell_angle_gamma 90.00
_symmetry_space_group_name_H-M 'I -4 m 2'
_symmetry_Int_Tables_number 119
_symmetry_space_group_name_Hall 'I -4 -2'
loop_
_atom_site_label
_atom_site_fract_x
_atom_site_fract_y
_atom_site_fract_z
Tb1 0.000 0.000 0.000
Mn1 0.000 0.000 0.500
Mn2 0.000 0.500 0.250
W1 0.000 0.500 0.750
O1 0.000 0.212 0.695
O2 0.000 0.331 0.038
```

Largest 10 diffraction maxima, sorted by position, 2θ from 15° to 90°:
(hkl)  d_spacing  I (rel.)
1 0 1  4.713  57
2 0 0  3.399  100
1 1 2  2.704  82
2 2 0  2.403  23
3 0 1  2.141  14
3 1 2  1.796  65
4 0 0  1.699  16
4 2 0  1.520  14
2 0 4  1.473  16
3 3 2  1.439  19